Starting from a GGA-PBE-relaxed structure, the powder X-ray diffraction pattern of MoPb was simulated for Cu Kα.

Largest 10 diffraction maxima, by angle, 15 to 90 degrees two-theta:
h k l  two_theta  Rel. int.
1 0 1  23.45  17
1 0 3  35.50  6
1 1 2  36.01  100
0 0 4  37.49  22
2 0 0  43.85  29
2 0 4  59.03  24
2 2 0  63.75  10
1 1 6  66.68  17
3 1 2  75.45  24
2 2 4  76.36  12

Atomic structure:
a = 4.129 Å, b = 4.129 Å, c = 9.596 Å
α = 90.00°, β = 90.00°, γ = 90.00°
Space group I4_1/amd (No. 141, origin choice 2)
Symmetry-distinct sites (fractional):
Mo: 0.000 0.250 0.375 x4
Pb: 0.000 0.250 0.875 x4

Starting from a GGA-PBE-relaxed structure, the powder X-ray diffraction pattern of Ca2GaBiO6 was simulated for Cu Kα.

Largest 10 diffraction maxima, by angle, 15 to 90 degrees two-theta:
h k l  two_theta  Rel. int.
1 1 1  19.03  32
2 0 0  22.00  57
2 2 0  31.32  100
3 1 1  36.90  22
4 0 0  44.88  35
4 2 0  50.52  25
4 2 2  55.74  40
4 4 0  65.34  21
6 0 0  69.85  12
6 2 0  74.24  17

Atomic structure:
a = 8.079 Å, b = 8.079 Å, c = 8.079 Å
α = 90.00°, β = 90.00°, γ = 90.00°
Space group Fm-3m (No. 225)
Symmetry-distinct sites (fractional):
Ca: 0.250 0.250 0.250 x8
Ga: 0.000 0.000 0.000 x4
Bi: 0.000 0.000 0.500 x4
O: 0.000 0.000 0.242 x24

Starting from a GGA-PBE-relaxed structure, the powder X-ray diffraction pattern of NbCr3 was simulated for Cu Kα.

Largest 10 diffraction maxima, by angle, 15 to 90 degrees two-theta:
h k l  two_theta  Rel. int.
1 0 0  23.37  9
1 1 0  33.28  7
1 1 1  41.07  100
2 0 0  47.78  47
2 1 0  53.85  4
2 1 1  59.47  3
2 2 0  69.89  27
3 0 0  74.82  2
3 1 1  84.38  32
2 2 2  89.09  9

Atomic structure:
a = 3.807 Å, b = 3.807 Å, c = 3.807 Å
α = 90.00°, β = 90.00°, γ = 90.00°
Space group Pm-3m (No. 221)
Symmetry-distinct sites (fractional):
Nb: 0.000 0.000 0.000 x1
Cr: 0.000 0.500 0.500 x3

Starting from a GGA-PBE-relaxed structure, the powder X-ray diffraction pattern of TbCeO4 was simulated for Cu Kα.

Largest 10 diffraction maxima, by angle, 15 to 90 degrees two-theta:
h k l  two_theta  Rel. int.
1 1 0  28.36  100
0 2 0  31.93  22
1 0 2  34.65  9
1 2 -2  45.79  19
0 0 4  47.83  34
0 3 2  54.74  31
1 1 4  58.31  13
0 2 4  58.67  9
1 3 -4  74.06  6
0 1 6  77.12  9

Atomic structure:
a = 3.813 Å, b = 5.604 Å, c = 7.637 Å
α = 90.00°, β = 94.55°, γ = 90.00°
Space group P2_1/m (No. 11)
Symmetry-distinct sites (fractional):
Tb: 0.226 0.250 0.127 x2
Ce: 0.267 0.250 0.625 x2
O: 0.236 0.002 0.375 x4
O: 0.278 0.006 0.882 x4